Sr3Mn2MoO9: simulated powder diffractogram (Cu Ka), based on a GGA+U-relaxed structure.
Lines closer than 0.1° are merged.

The 6 most intense peaks (15° ≤ 2θ ≤ 90°), low angle first:
2theta  I/Imax  h k l
31.6  100  0 1 2
31.8  99  1 1 0
45.4  74  2 0 2
56.5  57  3 0 0
66.1  20  0 2 4
66.4  21  2 2 0

Cell and atoms:
a = 5.635 Å, b = 5.635 Å, c = 6.941 Å
α = 90.00°, β = 90.00°, γ = 120.00°
Sites, in units of the cell vectors:
1 Sr 0.000 0.000 0.000
2 Sr 0.333 0.667 0.687
3 Sr 0.667 0.333 0.313
4 Mn 0.333 0.667 0.159
5 Mn 0.667 0.333 0.841
6 Mo 0.000 0.000 0.500
7 O 0.000 0.500 0.000
8 O 0.162 0.325 0.339
9 O 0.162 0.838 0.339
10 O 0.325 0.162 0.661
11 O 0.500 0.000 0.000
12 O 0.500 0.500 0.000
13 O 0.675 0.838 0.339
14 O 0.838 0.162 0.661
15 O 0.838 0.675 0.661